# NiH6S2O12
Simulated powder diffractogram, Cu Kα (weighted mean of Kα1 and Kα2). Input: a cell relaxed with PBE+U.

Top 10 peaks for 15 to 90 degrees two-theta, in order of rising 2θ:
2theta  I_rel  hkl
18.5  42.6  1 1 0
18.6  25.2  1 0 1
19.2  100.0  1 1 1
21.5  71.8  0 1 -1
22.0  77.2  1 0 -1
27.1  44.9  1 0 2
27.4  40.9  0 1 2
29.6  30.3  -1 1 1
30.7  44.0  1 2 0
32.9  41.9  2 0 0

Structure:
```
data_NiH6S2O12
_chemical_formula_sum 'Ni1 H6 S2 O12'
_space_group_name_H-M_alt 'P 1'
_space_group_IT_number 1
_cell_length_a 5.9774
_cell_length_b 6.0459
_cell_length_c 7.5320
_cell_angle_alpha 77.51
_cell_angle_beta 76.36
_cell_angle_gamma 67.74
loop_
_space_group_symop_operation_xyz
'x,y,z'
loop_
_atom_site_label
_atom_site_type_symbol
_atom_site_fract_x
_atom_site_fract_y
_atom_site_fract_z
Ni1 Ni 0.0000 0.0000 0.0000
H1 H 0.0309 0.6014 0.1594
H2 H 0.1581 0.0925 0.2427
H3 H 0.2769 0.8062 0.2347
H4 H 0.7231 0.1938 0.7653
H5 H 0.8419 0.9075 0.7573
H6 H 0.9691 0.3986 0.8406
S1 S 0.4798 0.3037 0.2748
S2 S 0.5202 0.6963 0.7252
O1 O 0.0556 0.2833 0.9400
O2 O 0.1219 0.9491 0.2283
O3 O 0.2188 0.3340 0.2876
O4 O 0.3719 0.8474 0.8736
O5 O 0.4340 0.8191 0.5468
O6 O 0.4830 0.4609 0.7637
O7 O 0.5170 0.5391 0.2363
O8 O 0.5660 0.1809 0.4532
O9 O 0.6281 0.1526 0.1264
O10 O 0.7812 0.6660 0.7124
O11 O 0.8781 0.0509 0.7717
O12 O 0.9444 0.7167 0.0600
```